# Cs2TlPb
Calculated XRD peak list, Cu Kα X-rays. Input: a DFT-relaxed cell (GGA-PBE, Alexandria).
Neutral-atom scattering factors, no anomalous dispersion.

```
Cs2TlPb
1.0
5.1950 0.0000 0.0000
-0.0075 7.3708 0.0000
-2.5361 -3.6854 6.0081
Cs Tl Pb
2 1 1
Cartesian
0.0000 0.0000 0.0000
0.0375 0.0001 4.3195
0.0184 3.8962 2.1598
2.6161 2.3876 2.1597
```

The 10 most intense peaks (2θ = 10–90°), in order of falling intensity:
d (Å)  Position (°2θ)  Rel. int.  hkl
3.519  25.3  100  0 1 1
2.918  30.6  68  1 2 -1
6.283  14.1  62  0 1 0
2.081  43.5  46  2 1 -3
3.480  25.6  37  1 1 0
3.455  25.8  37  1 1 -2
4.246  20.9  36  1 1 -1
2.597  34.5  32  2 0 -1
6.008  14.7  30  0 0 1
2.098  43.1  29  2 1 0